(1)
Structure and theoretical powder diffractogram of La3Ag4P4O2 (a cell relaxed with GGA-PBE; Cu Kα (weighted mean of Kα1 and Kα2)).

a = 4.1743 Å, b = 4.1743 Å, c = 28.5172 Å
α = 90.00°, β = 90.00°, γ = 90.00°
Space group I4/mmm (No. 139)
Unique sites:
La1 0.0000 0.0000 0.0000
La2 0.0000 0.0000 0.2914
Ag1 0.0000 0.5000 0.0994
P1 0.0000 0.0000 0.1505
P2 0.0000 0.0000 0.4617
O1 0.0000 0.5000 0.2500

Top 10 peaks for 2θ = 15–90°, sorted by position:
2θ = 23.27°, 3.822 Å, I 33, hkl 1 0 3
2θ = 30.67°, 2.916 Å, I 76, hkl 1 0 7
2θ = 31.37°, 2.852 Å, I 38, hkl 0 0 10
2θ = 32.84°, 2.727 Å, I 100, hkl 1 1 4
2θ = 35.81°, 2.507 Å, I 81, hkl 1 1 6
2θ = 43.35°, 2.087 Å, I 68, hkl 2 0 0
2θ = 54.03°, 1.697 Å, I 30, hkl 2 1 7
2θ = 54.48°, 1.684 Å, I 32, hkl 2 0 10
2θ = 54.75°, 1.676 Å, I 36, hkl 1 1 14
2θ = 62.98°, 1.476 Å, I 21, hkl 2 2 0

=====

(2)
Structure and theoretical powder diffractogram of Gd2Cl4O (a cell relaxed with GGA-PBE; Cu Kα (weighted mean of Kα1 and Kα2)).

a = 15.7090 Å, b = 6.2412 Å, c = 6.3114 Å
α = 90.00°, β = 98.04°, γ = 90.00°
Space group C2/c (No. 15)
Unique sites:
Gd1 0.0845 0.1785 0.0487
Cl1 0.0889 0.3928 0.4366
Cl2 0.2013 0.0654 0.8036
O1 0.0000 0.0290 0.7500

Top 10 peaks for 2θ = 15–90°, sorted by position:
2θ = 15.30°, 5.792 Å, I 60, hkl 1 1 0
2θ = 21.45°, 4.142 Å, I 100, hkl 1 1 1
2θ = 25.16°, 3.539 Å, I 71, hkl 3 1 -1
2θ = 27.80°, 3.209 Å, I 74, hkl 3 1 1
2θ = 28.57°, 3.124 Å, I 41, hkl 0 0 2
2θ = 29.27°, 3.051 Å, I 39, hkl 2 0 -2
2θ = 33.56°, 2.671 Å, I 45, hkl 5 1 -1
2θ = 34.57°, 2.595 Å, I 67, hkl 6 0 0
2θ = 34.81°, 2.577 Å, I 81, hkl 2 2 1
2θ = 38.50°, 2.339 Å, I 51, hkl 4 2 -1

=====

(3)
Structure and theoretical powder diffractogram of HoBiAu2 (a cell relaxed with GGA-PBE; Cu Kα (weighted mean of Kα1 and Kα2)).

a = 4.5663 Å, b = 3.7890 Å, c = 11.1230 Å
α = 90.00°, β = 90.00°, γ = 90.00°
Space group Amm2 (No. 38)
Unique sites:
Ho1 0.0000 0.0000 0.0000
Bi1 0.5000 0.0000 0.7081
Au1 0.0000 0.0000 0.2808
Au2 0.5000 0.0000 0.4419

Top 10 peaks for 2θ = 15–90°, sorted by position:
2θ = 31.72°, 2.821 Å, I 100, hkl 1 1 1
2θ = 32.19°, 2.781 Å, I 24, hkl 0 0 4
2θ = 33.83°, 2.650 Å, I 24, hkl 0 1 3
2θ = 37.88°, 2.375 Å, I 39, hkl 1 0 4
2θ = 39.31°, 2.292 Å, I 68, hkl 1 1 3
2θ = 39.47°, 2.283 Å, I 35, hkl 2 0 0
2θ = 48.02°, 1.894 Å, I 20, hkl 0 2 0
2θ = 62.74°, 1.481 Å, I 18, hkl 1 2 4
2θ = 63.85°, 1.458 Å, I 17, hkl 2 2 0
2θ = 77.38°, 1.233 Å, I 18, hkl 2 1 7

=====

(4)
Structure and theoretical powder diffractogram of Li4OsPdO6 (a cell relaxed with GGA-PBE; Cu Kα (weighted mean of Kα1 and Kα2)).

a = 5.1452 Å, b = 8.9594 Å, c = 5.0532 Å
α = 90.00°, β = 109.39°, γ = 90.00°
Space group C2 (No. 5)
Unique sites:
Li1 0.0000 0.0000 0.0000
Li2 0.0000 0.1551 0.5000
Li3 0.0000 0.5065 0.5000
Li4 0.0000 0.8358 0.5000
Os1 0.0000 0.3355 0.0000
Pd1 0.0000 0.6672 0.0000
O1 0.2346 0.3324 0.7609
O2 0.2421 0.4904 0.2435
O3 0.2435 0.1763 0.2364

Top 10 peaks for 2θ = 15–90°, sorted by position:
2θ = 18.62°, 4.767 Å, I 100, hkl 0 0 1
2θ = 19.82°, 4.480 Å, I 26, hkl 0 2 0
2θ = 20.82°, 4.267 Å, I 47, hkl 1 1 0
2θ = 23.58°, 3.774 Å, I 35, hkl 1 1 -1
2θ = 27.32°, 3.264 Å, I 23, hkl 0 2 1
2θ = 35.29°, 2.544 Å, I 39, hkl 1 3 0
2θ = 35.50°, 2.528 Å, I 18, hkl 2 0 -1
2θ = 37.05°, 2.426 Å, I 30, hkl 1 3 -1
2θ = 43.13°, 2.098 Å, I 45, hkl 1 3 1
2θ = 43.50°, 2.080 Å, I 22, hkl 2 0 -2